Entry 1:
Structure and computed powder diffractogram of LiIn2Rh (a structure optimized by DFT (PBE); CuKα).
Kinematic intensities with the Lorentz-polarization factor, no thermal factor.

Main lines, by angle (5 to 70 degrees two-theta):
(hkl), 2theta, Rel. int.
1 1 1, 23.6, 22
2 0 0, 27.3, 16
2 2 0, 39.0, 100
3 1 1, 46.1, 10
2 2 2, 48.2, 4
4 0 0, 56.3, 17
3 3 1, 61.9, 4
4 2 0, 63.7, 6

Atomic structure:
```
LiIn2Rh
1.0
6.535 0.000 0.000
0.000 6.535 0.000
0.000 0.000 6.535
Li In Rh
4 8 4
Direct
0.000 0.000 0.000
0.000 0.500 0.500
0.500 0.000 0.500
0.500 0.500 0.000
0.250 0.250 0.250
0.250 0.250 0.750
0.250 0.750 0.250
0.250 0.750 0.750
0.750 0.250 0.250
0.750 0.250 0.750
0.750 0.750 0.250
0.750 0.750 0.750
0.000 0.000 0.500
0.000 0.500 0.000
0.500 0.000 0.000
0.500 0.500 0.500
```


Entry 2:
Structure and computed powder diffractogram of LiIn2Ru (a structure optimized by DFT (PBE); CuKα).
Kinematic intensities with the Lorentz-polarization factor, no thermal factor.

Main lines, by angle (5 to 70 degrees two-theta):
(hkl), 2theta, Rel. int.
1 1 1, 23.6, 21
2 0 0, 27.3, 17
2 2 0, 39.0, 100
3 1 1, 46.1, 10
2 2 2, 48.3, 5
4 0 0, 56.4, 17
3 3 1, 61.9, 4
4 2 0, 63.7, 6

Atomic structure:
```
LiIn2Ru
1.0
6.530 0.000 0.000
0.000 6.530 0.000
0.000 0.000 6.530
Li In Ru
4 8 4
Direct
0.000 0.000 0.000
0.000 0.500 0.500
0.500 0.000 0.500
0.500 0.500 0.000
0.250 0.250 0.250
0.250 0.250 0.750
0.250 0.750 0.250
0.250 0.750 0.750
0.750 0.250 0.250
0.750 0.250 0.750
0.750 0.750 0.250
0.750 0.750 0.750
0.000 0.000 0.500
0.000 0.500 0.000
0.500 0.000 0.000
0.500 0.500 0.500
```


Entry 3:
Structure and computed powder diffractogram of LiInS2 (a structure optimized by DFT (PBE); CuKα).
Kinematic intensities with the Lorentz-polarization factor, no thermal factor.

Main lines, by angle (5 to 70 degrees two-theta):
(hkl), 2theta, Rel. int.
1 1 0, 16.7, 88
0 1 1, 17.4, 100
1 1 1, 21.5, 31
1 2 0, 25.3, 62
2 0 0, 25.4, 34
0 0 2, 27.2, 58
1 2 1, 28.8, 59
1 1 2, 32.1, 39
2 0 2, 37.5, 36
3 2 0, 44.7, 51
1 2 3, 49.1, 74
3 2 2, 53.1, 33

Atomic structure:
```
LiInS2
1.0
7.016 0.000 0.000
0.000 8.155 0.000
0.000 0.000 6.555
Li In S
4 4 8
Direct
0.089 0.116 0.000
0.411 0.616 0.500
0.589 0.384 0.000
0.911 0.884 0.500
0.081 0.624 0.992
0.419 0.124 0.492
0.581 0.876 0.992
0.919 0.376 0.492
0.078 0.631 0.610
0.085 0.125 0.622
0.415 0.625 0.122
0.422 0.131 0.110
0.578 0.869 0.610
0.585 0.375 0.622
0.915 0.875 0.122
0.922 0.369 0.110
```


Entry 4:
Structure and computed powder diffractogram of LiInSe2 (a structure optimized by DFT (PBE); CuKα).
Kinematic intensities with the Lorentz-polarization factor, no thermal factor.

Main lines, by angle (5 to 70 degrees two-theta):
(hkl), 2theta, Rel. int.
1 0 1, 17.5, 80
1 0 3, 28.6, 10
2 0 0, 31.6, 100
0 0 4, 31.9, 47
2 1 1, 36.3, 26
2 1 3, 43.1, 7
1 0 5, 43.3, 14
2 2 0, 45.3, 36
2 0 4, 45.5, 68
2 1 5, 54.6, 14
2 2 4, 56.4, 36
4 0 0, 65.9, 11

Atomic structure:
```
LiInSe2
1.0
5.666 0.000 0.000
0.000 5.666 0.000
0.000 0.000 11.230
Li In Se
4 4 8
Direct
0.000 0.250 0.375
0.000 0.750 0.625
0.500 0.250 0.125
0.500 0.750 0.875
0.000 0.250 0.875
0.000 0.750 0.125
0.500 0.250 0.625
0.500 0.750 0.375
0.000 0.250 0.114
0.000 0.250 0.636
0.000 0.750 0.364
0.000 0.750 0.886
0.500 0.250 0.386
0.500 0.250 0.864
0.500 0.750 0.136
0.500 0.750 0.614
```


Entry 5:
Structure and computed powder diffractogram of LiInSe2 (a structure optimized by DFT (PBE); CuKα).
Kinematic intensities with the Lorentz-polarization factor, no thermal factor.

Main lines, by angle (5 to 70 degrees two-theta):
(hkl), 2theta, Rel. int.
1 0 1, 16.4, 40
1 1 2, 25.6, 100
1 0 3, 26.8, 15
2 1 1, 34.0, 16
2 1 3, 40.3, 8
2 2 0, 42.3, 25
2 0 4, 42.6, 49
3 1 2, 50.2, 31
1 1 6, 50.6, 15
4 0 0, 61.4, 8
3 3 2, 67.7, 6
3 1 6, 68.0, 12

Atomic structure:
```
LiInSe2
1.0
6.039 0.000 0.000
0.000 6.039 0.000
0.000 0.000 11.950
Li In Se
4 4 8
Direct
0.000 0.000 0.000
0.000 0.500 0.250
0.500 0.000 0.750
0.500 0.500 0.500
0.000 0.000 0.500
0.000 0.500 0.750
0.500 0.000 0.250
0.500 0.500 0.000
0.243 0.750 0.125
0.250 0.243 0.875
0.250 0.257 0.375
0.257 0.750 0.625
0.743 0.250 0.625
0.750 0.743 0.375
0.750 0.757 0.875
0.757 0.250 0.125
```


Entry 6:
Structure and computed powder diffractogram of LiInSe2 (a structure optimized by DFT (PBE); CuKα).
Kinematic intensities with the Lorentz-polarization factor, no thermal factor.

Main lines, by angle (5 to 70 degrees two-theta):
(hkl), 2theta, Rel. int.
1 1 0, 15.9, 61
0 1 1, 16.4, 74
1 2 0, 24.0, 100
2 0 0, 24.3, 58
0 0 2, 25.7, 93
1 2 1, 27.3, 74
1 2 2, 35.5, 37
0 4 0, 42.2, 51
3 2 0, 42.6, 91
1 2 3, 46.3, 91
2 0 3, 46.4, 43
3 2 2, 50.4, 57

Atomic structure:
```
LiInSe2
1.0
7.338 0.000 0.000
0.000 8.575 0.000
0.000 0.000 6.942
Li In Se
4 4 8
Direct
0.088 0.124 0.000
0.412 0.624 0.500
0.588 0.376 0.000
0.912 0.876 0.500
0.080 0.626 0.001
0.420 0.126 0.501
0.580 0.874 0.001
0.920 0.374 0.501
0.080 0.629 0.621
0.082 0.120 0.628
0.418 0.620 0.128
0.420 0.129 0.121
0.580 0.871 0.621
0.582 0.380 0.628
0.918 0.880 0.128
0.920 0.371 0.121
```


Entry 7:
Structure and computed powder diffractogram of LiInSe2 (a structure optimized by DFT (PBE); CuKα).
Kinematic intensities with the Lorentz-polarization factor, no thermal factor.

Main lines, by angle (5 to 70 degrees two-theta):
(hkl), 2theta, Rel. int.
0 0 1, 16.2, 39
1 0 0, 22.1, 38
1 1 0, 31.5, 100
0 0 2, 32.8, 45
1 1 1, 35.6, 23
1 0 2, 39.9, 16
2 0 0, 45.2, 36
1 1 2, 46.1, 68
2 0 1, 48.3, 9
2 0 2, 56.9, 36
2 1 2, 61.8, 9
2 2 0, 65.8, 11

Atomic structure:
```
LiInSe2
1.0
4.016 0.000 0.000
0.000 4.016 0.000
0.000 0.000 5.465
Li In Se
1 1 2
Direct
0.000 0.000 0.000
0.500 0.500 0.500
0.000 0.000 0.500
0.500 0.500 0.000
```


Entry 8:
Structure and computed powder diffractogram of LiInSe2 (a structure optimized by DFT (PBE); CuKα).
Kinematic intensities with the Lorentz-polarization factor, no thermal factor.

Main lines, by angle (5 to 70 degrees two-theta):
(hkl), 2theta, Rel. int.
0 0 3, 13.5, 43
1 0 1, 26.4, 25
1 0 4, 31.9, 100
0 1 5, 34.8, 11
1 0 7, 41.6, 9
0 1 8, 45.5, 36
1 1 0, 45.8, 36
1 1 3, 48.0, 11
0 0 12, 56.3, 6
0 2 4, 56.9, 18
0 1 11, 58.4, 4
2 0 8, 66.6, 11

Atomic structure:
```
LiInSe2
1.0
3.959 0.000 0.000
-1.979 3.428 0.000
0.000 0.000 19.605
Li In Se
3 3 6
Direct
0.000 0.000 0.000
0.333 0.667 0.667
0.667 0.333 0.333
0.000 0.000 0.500
0.333 0.667 0.167
0.667 0.333 0.833
0.000 0.000 0.248
0.000 0.000 0.752
0.333 0.667 0.418
0.333 0.667 0.915
0.667 0.333 0.085
0.667 0.333 0.582
```


Entry 9:
Structure and computed powder diffractogram of Li2InSi (a structure optimized by DFT (PBE); CuKα).
Kinematic intensities with the Lorentz-polarization factor, no thermal factor.

Main lines, by angle (5 to 70 degrees two-theta):
(hkl), 2theta, Rel. int.
1 1 1, 23.2, 100
2 0 0, 26.8, 31
2 2 0, 38.3, 75
3 1 1, 45.2, 50
2 2 2, 47.3, 9
4 0 0, 55.2, 12
3 3 1, 60.7, 20
4 2 0, 62.4, 11
4 2 2, 69.2, 25

Atomic structure:
```
Li2InSi
1.0
6.651 0.000 0.000
0.000 6.651 0.000
0.000 0.000 6.651
Li In Si
8 4 4
Direct
0.000 0.000 0.000
0.000 0.500 0.500
0.250 0.250 0.250
0.250 0.750 0.750
0.500 0.000 0.500
0.500 0.500 0.000
0.750 0.250 0.750
0.750 0.750 0.250
0.000 0.000 0.500
0.000 0.500 0.000
0.500 0.000 0.000
0.500 0.500 0.500
0.250 0.250 0.750
0.250 0.750 0.250
0.750 0.250 0.250
0.750 0.750 0.750
```


Entry 10:
Structure and computed powder diffractogram of Li2SmIn (a structure optimized by DFT (PBE); CuKα).
Kinematic intensities with the Lorentz-polarization factor, no thermal factor.

Main lines, by angle (5 to 70 degrees two-theta):
(hkl), 2theta, Rel. int.
1 1 1, 22.1, 3
2 0 0, 25.6, 100
2 2 0, 36.5, 92
3 1 1, 43.1, 2
2 2 2, 45.1, 29
4 0 0, 52.6, 16
3 3 1, 57.7, 1
4 2 0, 59.4, 38
4 2 2, 65.7, 32

Atomic structure:
```
Li2SmIn
1.0
6.962 0.000 0.000
0.000 6.962 0.000
0.000 0.000 6.962
Li Sm In
8 4 4
Direct
0.250 0.250 0.250
0.250 0.250 0.750
0.250 0.750 0.250
0.250 0.750 0.750
0.750 0.250 0.250
0.750 0.250 0.750
0.750 0.750 0.250
0.750 0.750 0.750
0.000 0.000 0.000
0.000 0.500 0.500
0.500 0.000 0.500
0.500 0.500 0.000
0.000 0.000 0.500
0.000 0.500 0.000
0.500 0.000 0.000
0.500 0.500 0.500
```


Entry 11:
Structure and computed powder diffractogram of LiTbIn2 (a structure optimized by DFT (PBE); CuKα).
Kinematic intensities with the Lorentz-polarization factor, no thermal factor.

Main lines, by angle (5 to 70 degrees two-theta):
(hkl), 2theta, Rel. int.
1 1 1, 21.1, 35
2 0 0, 24.4, 4
2 2 0, 34.8, 100
3 1 1, 41.0, 19
2 2 2, 42.9, 1
4 0 0, 50.0, 18
3 3 1, 54.8, 8
4 2 0, 56.4, 1
4 2 2, 62.3, 36
5 1 1, 66.6, 6

Atomic structure:
```
LiTbIn2
1.0
7.296 0.000 0.000
0.000 7.296 0.000
0.000 0.000 7.296
Li Tb In
4 4 8
Direct
0.000 0.000 0.000
0.000 0.500 0.500
0.500 0.000 0.500
0.500 0.500 0.000
0.000 0.000 0.500
0.000 0.500 0.000
0.500 0.000 0.000
0.500 0.500 0.500
0.250 0.250 0.250
0.250 0.250 0.750
0.250 0.750 0.250
0.250 0.750 0.750
0.750 0.250 0.250
0.750 0.250 0.750
0.750 0.750 0.250
0.750 0.750 0.750
```


Entry 12:
Structure and computed powder diffractogram of LiTmIn2 (a structure optimized by DFT (PBE); CuKα).
Kinematic intensities with the Lorentz-polarization factor, no thermal factor.

Main lines, by angle (5 to 70 degrees two-theta):
(hkl), 2theta, Rel. int.
1 1 1, 21.3, 37
2 0 0, 24.7, 3
2 2 0, 35.2, 100
3 1 1, 41.5, 20
2 2 2, 43.4, 1
4 0 0, 50.6, 18
3 3 1, 55.5, 9
4 2 0, 57.1, 1
4 2 2, 63.1, 36
5 1 1, 67.4, 6

Atomic structure:
```
LiTmIn2
1.0
7.219 0.000 0.000
0.000 7.219 0.000
0.000 0.000 7.219
Li Tm In
4 4 8
Direct
0.000 0.000 0.000
0.000 0.500 0.500
0.500 0.000 0.500
0.500 0.500 0.000
0.000 0.000 0.500
0.000 0.500 0.000
0.500 0.000 0.000
0.500 0.500 0.500
0.250 0.250 0.250
0.250 0.250 0.750
0.250 0.750 0.250
0.250 0.750 0.750
0.750 0.250 0.250
0.750 0.250 0.750
0.750 0.750 0.250
0.750 0.750 0.750
```


- Which formula does entry 7 have?
  LiInSe2


Copy entry 9 word for word.
Structure and computed powder diffractogram of Li2InSi (a structure optimized by DFT (PBE); CuKα).
Kinematic intensities with the Lorentz-polarization factor, no thermal factor.

Main lines, by angle (5 to 70 degrees two-theta):
(hkl), 2theta, Rel. int.
1 1 1, 23.2, 100
2 0 0, 26.8, 31
2 2 0, 38.3, 75
3 1 1, 45.2, 50
2 2 2, 47.3, 9
4 0 0, 55.2, 12
3 3 1, 60.7, 20
4 2 0, 62.4, 11
4 2 2, 69.2, 25

Atomic structure:
```
Li2InSi
1.0
6.651 0.000 0.000
0.000 6.651 0.000
0.000 0.000 6.651
Li In Si
8 4 4
Direct
0.000 0.000 0.000
0.000 0.500 0.500
0.250 0.250 0.250
0.250 0.750 0.750
0.500 0.000 0.500
0.500 0.500 0.000
0.750 0.250 0.750
0.750 0.750 0.250
0.000 0.000 0.500
0.000 0.500 0.000
0.500 0.000 0.000
0.500 0.500 0.500
0.250 0.250 0.750
0.250 0.750 0.250
0.750 0.250 0.250
0.750 0.750 0.750
```